For Li6Co6O5F11, DFT lattice parameters and positions (GGA+U) gives the simulated X-ray diffraction stick pattern in this record (copper Kα).
Peak positions follow from Bragg's law for the DFT cell and can differ from measured ones.

Principal peaks in the range 15 to 90 degrees two-theta, sorted by position:
Position (°2θ)  intensity  h k l
17.0  19  0 1 0
17.3  15  1 0 0
18.0  100  0 0 2
18.6  74  1 1 1
20.0  41  0 1 -1
34.5  16  1 1 -3
34.8  15  -1 1 2
34.9  16  0 2 1
35.6  15  2 0 1
42.4  97  0 2 3
43.4  46  2 0 3
60.9  15  2 0 -5

Structure:
abc: 5.8764 5.9756 9.9780
angles: 82.68 83.39 60.91
Positions (direct):
Li: 0.0000 0.0000 0.0000
Li: 0.0211 0.0252 0.6192
Li: 0.2791 0.2711 0.4737
Li: 0.3057 0.3190 0.1294
Li: 0.5024 0.5178 0.8465
Li: 0.5573 0.5764 0.6007
Co: 0.0435 0.5044 0.8098
Co: 0.3068 0.7837 0.3091
Co: 0.5006 0.0556 0.8091
Co: 0.6520 0.6604 0.0740
Co: 0.7794 0.3082 0.3067
Co: 0.7812 0.7853 0.3104
O: 0.3251 0.3264 0.9241
O: 0.4637 0.5086 0.2029
O: 0.4875 0.9405 0.2071
O: 0.5960 0.6363 0.4126
O: 0.9362 0.5073 0.2063
F: 0.1011 0.6303 0.4167
F: 0.1098 0.0839 0.4265
F: 0.2007 0.2126 0.6705
F: 0.2219 0.6914 0.6962
F: 0.3565 0.8355 0.9332
F: 0.6352 0.0866 0.4175
F: 0.6828 0.2338 0.6900
F: 0.6999 0.7125 0.7154
F: 0.8259 0.3596 0.9372
F: 0.8308 0.8360 0.9309
F: 0.9809 0.9560 0.2004